Computed powder diffraction line list
Compound: SrLa5As6
Radiation: Cu Kα
Structure: a GGA-PBE-relaxed structure
Neutral-atom scattering factors, no anomalous dispersion.

Principal peaks in the range 2θ = 10–80°, in order of falling intensity:
(1 3 1), 2θ = 28.7°, I 100.0
(2 0 2), 2θ = 41.1°, I 75.4
(3 3 3), 2θ = 67.4°, I 34.0
(0 0 4), 2θ = 50.9°, I 26.8
(1 3 5), 2θ = 74.9°, I 25.1
(2 6 2), 2θ = 59.5°, I 12.5
(2 0 0), 2θ = 24.8°, I 11.8
(4 0 -2), 2θ = 48.6°, I 6.0
(5 3 -1), 2θ = 65.5°, I 2.6
(1 1 0), 2θ = 14.1°, I 0.8
(1 1 -1), 2θ = 15.8°, I 0.6
(0 0 1), 2θ = 12.3°, I 0.6

Atomic structure:
a b c (Å): 7.6103 13.1861 7.6088
angles (deg): 90.00 109.49 90.00
Space group C2/m (No. 12)
Symmetry-distinct sites (fractional):
Sr: 0.0000 0.0000 0.0000
La: 0.0000 0.1651 0.5000
La: 0.0000 0.3330 0.0000
La: 0.0000 0.5000 0.5000
As: 0.2428 0.5000 0.2544
As: 0.2441 0.3289 0.7460